No. 1
# LiPt7
Theoretical PXRD pattern, Cu Kα, 1.54184 Å. Input: DFT lattice parameters and positions (GGA-PBE).

Principal peaks in the range 5° ≤ 2θ ≤ 70°, in order of rising 2θ:
- 2θ = 19.54°, intensity 11
- 2θ = 22.60°, intensity 6
- 2θ = 32.18°, intensity 5
- 2θ = 37.92°, intensity 7
- 2θ = 39.68°, intensity 100
- 2θ = 46.14°, intensity 49
- 2θ = 50.56°, intensity 3
- 2θ = 67.31°, intensity 32

Structure:
abc: 5.5640 5.5640 5.5640
angles: 60.00 60.00 60.00
Positions (direct):
Li  0.0000  0.0000  0.0000
Pt  0.0000  0.0000  0.5000
Pt  0.0000  0.5000  0.0000
Pt  0.0000  0.5000  0.5000
Pt  0.5000  0.0000  0.0000
Pt  0.5000  0.0000  0.5000
Pt  0.5000  0.5000  0.0000
Pt  0.5000  0.5000  0.5000


No. 2
# Li4Pt
Theoretical PXRD pattern, Cu Kα, 1.54184 Å. Input: DFT lattice parameters and positions (GGA-PBE).

Principal peaks in the range 5° ≤ 2θ ≤ 70°, in order of rising 2θ:
- 2θ = 16.05°, intensity 100
- 2θ = 26.35°, intensity 100
- 2θ = 31.00°, intensity 64
- 2θ = 41.12°, intensity 33
- 2θ = 46.50°, intensity 43
- 2θ = 49.50°, intensity 25
- 2θ = 56.94°, intensity 23
- 2θ = 61.28°, intensity 19

Structure:
abc: 6.7653 6.7653 6.7653
angles: 60.00 60.00 60.00
Positions (direct):
Li  0.1992  0.7669  0.7669
Li  0.2331  0.2331  0.2331
Li  0.2331  0.2331  0.8008
Li  0.2331  0.8008  0.2331
Li  0.7669  0.1992  0.7669
Li  0.7669  0.7669  0.1992
Li  0.7669  0.7669  0.7669
Li  0.8008  0.2331  0.2331
Pt  0.3750  0.3750  0.3750
Pt  0.6250  0.6250  0.6250


What did the first record say?
# LiPt7
Theoretical PXRD pattern, Cu Kα, 1.54184 Å. Input: DFT lattice parameters and positions (GGA-PBE).

Principal peaks in the range 5° ≤ 2θ ≤ 70°, in order of rising 2θ:
- 2θ = 19.54°, intensity 11
- 2θ = 22.60°, intensity 6
- 2θ = 32.18°, intensity 5
- 2θ = 37.92°, intensity 7
- 2θ = 39.68°, intensity 100
- 2θ = 46.14°, intensity 49
- 2θ = 50.56°, intensity 3
- 2θ = 67.31°, intensity 32

Structure:
abc: 5.5640 5.5640 5.5640
angles: 60.00 60.00 60.00
Positions (direct):
Li  0.0000  0.0000  0.0000
Pt  0.0000  0.0000  0.5000
Pt  0.0000  0.5000  0.0000
Pt  0.0000  0.5000  0.5000
Pt  0.5000  0.0000  0.0000
Pt  0.5000  0.0000  0.5000
Pt  0.5000  0.5000  0.0000
Pt  0.5000  0.5000  0.5000